Entry 1:
The following is a computed powder diffraction line list of Fe6CoRu. It was derived from the GGA-PBE geometry in Alexandria, using Cu Kα (λ = 1.5418 Å).
Lines closer than 0.1° are merged.

The 9 most intense peaks (15° ≤ 2θ ≤ 90°), by intensity:
2θ/deg, intensity
44.39, 100.0
81.74, 29.1
64.59, 14.9
26.75, 2.2
25.59, 1.3
33.85, 1.2
30.99, 1.2
52.59, 1.1
40.62, 0.8

Structural model:
```
Fe6CoRu
1.0
2.0413 1.1786 6.6600
-2.0413 1.1786 6.6600
0.0000 -2.3571 6.6600
Fe Co Ru
6 1 1
Cartesian
0.0000 0.0000 2.4459
0.0000 0.0000 4.9976
0.0000 0.0000 7.4513
0.0000 0.0000 12.5288
0.0000 0.0000 14.9825
0.0000 0.0000 17.5342
0.0000 0.0000 0.0000
0.0000 0.0000 9.9900
```



Entry 2:
The following is a computed powder diffraction line list of LaPr7. It was derived from the GGA-PBE geometry in Alexandria, using Cu Kα (λ = 1.5418 Å).
Lines closer than 0.1° are merged.

The 8 most intense peaks (15° ≤ 2θ ≤ 90°), by intensity:
2θ/deg, intensity
29.38, 100.0
34.05, 50.8
58.09, 43.6
48.92, 36.5
79.30, 17.6
81.79, 16.3
60.94, 12.6
71.69, 5.8

Structural model:
```
LaPr7
1.0
0.0000 5.2662 5.2662
5.2662 0.0000 5.2662
5.2662 5.2662 0.0000
La Pr
1 7
Cartesian
0.0000 0.0000 0.0000
2.6331 2.6331 0.0000
2.6331 0.0000 2.6331
5.2662 2.6331 2.6331
0.0000 2.6331 2.6331
2.6331 5.2662 2.6331
2.6331 2.6331 5.2662
5.2662 5.2662 5.2662
```



Entry 3:
The following is a computed powder diffraction line list of Ba2BiOsO6. It was derived from the GGA-PBE geometry in Alexandria, using Cu Kα (λ = 1.5418 Å).
Lines closer than 0.1° are merged.

The 10 most intense peaks (15° ≤ 2θ ≤ 90°), by intensity:
2θ/deg, intensity
29.34, 100.0
52.03, 41.4
41.97, 27.4
84.13, 22.6
68.98, 18.8
60.86, 17.6
20.63, 8.1
76.68, 5.9
47.21, 3.7
64.99, 1.8

Structural model:
```
Ba2BiOsO6
1.0
0.0000 4.3053 4.3053
4.3053 0.0000 4.3053
4.3053 4.3053 0.0000
Ba Bi Os O
2 1 1 6
Cartesian
2.1526 2.1526 2.1526
6.4579 6.4579 6.4579
0.0000 0.0000 0.0000
4.3053 4.3053 4.3053
4.3053 4.3053 2.3151
4.3053 2.3151 4.3053
6.2955 4.3053 4.3053
2.3151 4.3053 4.3053
4.3053 6.2955 4.3053
4.3053 4.3053 6.2955
```



Entry 4:
The following is a computed powder diffraction line list of AlGa8Au2. It was derived from the GGA-PBE geometry in Alexandria, using Cu Kα (λ = 1.5418 Å).
Lines closer than 0.1° are merged.

The 10 most intense peaks (15° ≤ 2θ ≤ 90°), by intensity:
2θ/deg, intensity
41.30, 100.0
39.63, 66.3
21.07, 55.4
26.74, 42.9
47.25, 42.5
32.91, 38.6
35.66, 36.9
42.89, 34.2
22.07, 31.7
28.58, 31.1

Structural model:
```
AlGa8Au2
1.0
5.5334 -4.2173 0.0000
5.5334 4.2173 0.0000
-0.8540 0.0000 4.6487
Al Ga Au
1 8 2
Cartesian
0.0000 0.0000 0.0000
4.5730 1.7923 1.0067
2.6728 0.0000 0.5688
5.6398 1.7923 3.6421
3.6090 0.0000 3.1710
6.6039 0.0000 1.4777
4.5730 -1.7923 1.0067
7.5401 0.0000 4.0800
5.6398 -1.7923 3.6421
0.9836 0.0000 2.6081
9.2293 0.0000 2.0407
```



Entry 5:
The following is a computed powder diffraction line list of Pr3InSi2Pd9. It was derived from the GGA-PBE geometry in Alexandria, using Cu Kα (λ = 1.5418 Å).
Lines closer than 0.1° are merged.

The 10 most intense peaks (15° ≤ 2θ ≤ 90°), by intensity:
2θ/deg, intensity
37.84, 100.0
34.08, 81.9
43.50, 30.7
37.41, 26.4
58.44, 26.2
71.48, 19.6
58.69, 18.9
27.84, 17.3
67.77, 16.4
71.75, 13.8

Structural model:
```
Pr3InSi2Pd9
1.0
6.3169 0.0000 0.0000
-3.1585 5.4706 0.0000
0.0000 0.0000 9.6150
Pr In Si Pd
3 1 2 9
Cartesian
0.0000 0.0000 0.0000
0.0000 3.6471 6.9314
3.1585 1.8235 2.6836
0.0000 0.0000 4.8075
0.0000 3.6471 1.5850
3.1585 1.8235 8.0300
-1.5792 2.7353 0.0000
0.0000 1.6049 2.6245
-1.7686 4.6682 2.6245
1.3899 0.8024 6.9905
3.1585 0.0000 0.0000
1.5792 2.7353 0.0000
1.7686 4.6682 2.6245
4.9271 0.8024 6.9905
3.1585 3.8657 6.9905
```



Entry 6:
The following is a computed powder diffraction line list of TmNi2Ge2Ir. It was derived from the GGA-PBE geometry in Alexandria, using Cu Kα (λ = 1.5418 Å).
Lines closer than 0.1° are merged.

The 10 most intense peaks (15° ≤ 2θ ≤ 90°), by intensity:
2θ/deg, intensity
39.31, 100.0
38.48, 91.0
56.19, 70.0
18.97, 65.6
26.95, 64.7
55.56, 31.0
52.35, 26.9
16.86, 24.9
82.99, 22.6
34.10, 22.0

Structural model:
```
TmNi2Ge2Ir
1.0
4.6784 0.0000 0.0000
0.0000 4.6784 0.0000
0.0000 0.0000 5.2580
Tm Ni Ge Ir
1 2 2 1
Cartesian
0.0000 0.0000 0.0000
2.3392 2.3392 1.2896
2.3392 2.3392 3.9684
0.0000 2.3392 2.6290
2.3392 0.0000 2.6290
0.0000 0.0000 2.6290
```



Entry 7:
The following is a computed powder diffraction line list of Pr4Y8Tm. It was derived from the GGA-PBE geometry in Alexandria, using Cu Kα (λ = 1.5418 Å).
Lines closer than 0.1° are merged.

The 10 most intense peaks (15° ≤ 2θ ≤ 90°), by intensity:
2θ/deg, intensity
32.22, 100.0
57.44, 36.6
46.20, 17.9
19.56, 17.6
76.69, 15.0
67.41, 11.1
37.97, 9.7
25.34, 7.7
15.95, 7.5
50.63, 4.2

Structural model:
```
Pr4Y8Tm
1.0
7.8590 0.0000 0.0000
0.0000 7.8590 0.0000
0.0000 0.0000 7.8590
Pr Y Tm
4 8 1
Cartesian
0.0000 0.0000 0.0000
0.0000 3.9295 3.9295
3.9295 0.0000 3.9295
3.9295 3.9295 0.0000
1.8929 1.8929 1.8929
1.8929 1.8929 5.9661
1.8929 5.9661 1.8929
1.8929 5.9661 5.9661
5.9661 1.8929 1.8929
5.9661 1.8929 5.9661
5.9661 5.9661 1.8929
5.9661 5.9661 5.9661
3.9295 3.9295 3.9295
```



Entry 8:
The following is a computed powder diffraction line list of Ba2Cd3Rh2. It was derived from the GGA-PBE geometry in Alexandria, using Cu Kα (λ = 1.5418 Å).
Lines closer than 0.1° are merged.

The 10 most intense peaks (15° ≤ 2θ ≤ 90°), by intensity:
2θ/deg, intensity
36.43, 100.0
30.36, 74.8
39.01, 63.2
32.68, 62.7
33.31, 60.1
16.16, 37.5
35.25, 34.8
34.22, 34.5
30.00, 34.4
39.58, 24.4

Structural model:
```
Ba2Cd3Rh2
1.0
5.7333 -2.3090 0.0000
5.7333 2.3090 0.0000
-3.6107 0.0000 6.9830
Ba Cd Rh
2 3 2
Cartesian
0.5559 0.0000 1.9137
7.3001 0.0000 5.0694
3.7433 0.0000 0.4596
3.9280 0.0000 3.4915
4.1126 0.0000 6.5234
-1.0290 0.0000 4.8328
8.8849 0.0000 2.1502
```



Entry 9:
The following is a computed powder diffraction line list of K5Co. It was derived from the GGA-PBE geometry in Alexandria, using Cu Kα (λ = 1.5418 Å).
Lines closer than 0.1° are merged.

The 10 most intense peaks (15° ≤ 2θ ≤ 90°), by intensity:
2θ/deg, intensity
25.68, 100.0
27.81, 22.4
52.82, 19.5
47.92, 15.6
31.65, 15.6
29.62, 14.1
42.63, 12.7
32.53, 11.6
41.08, 9.3
43.89, 8.7

Structural model:
```
K5Co
1.0
2.8271 -9.0456 0.0000
2.8271 9.0456 0.0000
0.0000 0.0000 6.4156
K Co
5 1
Cartesian
0.0000 0.0000 0.0000
2.8271 6.5626 3.2078
2.8271 2.8310 0.0000
2.8271 -2.8310 0.0000
2.8271 -6.5626 3.2078
2.8271 0.0000 3.2078
```



Entry 10:
The following is a computed powder diffraction line list of LiCeEr4S8. It was derived from the GGA-PBE geometry in Alexandria, using Cu Kα (λ = 1.5418 Å).
Lines closer than 0.1° are merged.

The 10 most intense peaks (15° ≤ 2θ ≤ 90°), by intensity:
2θ/deg, intensity
26.13, 100.0
31.59, 85.1
44.91, 66.0
45.66, 63.8
26.28, 58.0
25.82, 48.2
41.44, 35.6
27.42, 35.0
15.65, 33.3
41.65, 30.7

Structural model:
```
LiCeEr4S8
1.0
3.9737 2.2942 6.6459
-3.9737 2.2942 6.6459
0.0000 -4.5885 6.6459
Li Ce Er S
1 1 4 8
Cartesian
0.0000 0.0000 0.0000
0.0000 0.0000 7.4187
0.0000 -2.3802 10.8374
-2.0613 1.1901 10.8374
0.0000 0.0000 14.9272
2.0613 1.1901 10.8374
0.0000 -2.1999 5.7175
-1.9052 1.1000 5.7175
0.0000 0.0000 2.6533
-1.8977 -1.0957 9.2710
1.9052 1.1000 5.7174
0.0000 0.0000 12.2963
1.8977 -1.0957 9.2711
0.0000 2.1913 9.2711
```



Entry 11:
The following is a computed powder diffraction line list of SrH8Os2. It was derived from the GGA-PBE geometry in Alexandria, using Cu Kα (λ = 1.5418 Å).
Lines closer than 0.1° are merged.

The 10 most intense peaks (15° ≤ 2θ ≤ 90°), by intensity:
2θ/deg, intensity
17.73, 100.0
38.00, 95.0
26.04, 65.6
28.81, 58.9
28.46, 42.6
35.91, 42.3
20.80, 41.1
41.25, 31.5
35.64, 30.8
54.83, 25.5

Structural model:
```
SrH8Os2
1.0
2.5369 -4.0266 0.0000
2.5369 4.0266 0.0000
-0.5938 0.0000 5.0018
Sr H Os
1 8 2
Cartesian
0.0000 0.0000 0.0000
1.3229 2.0042 1.2309
2.4367 2.9511 2.3844
1.8245 0.0000 4.0798
2.3704 0.0000 1.6200
3.3041 1.7286 3.7540
1.3229 -2.0042 1.2309
2.4367 -2.9511 2.3844
3.3041 -1.7286 3.7540
1.5665 1.2671 2.6762
1.5665 -1.2671 2.6762
```